1.
Starting from a PBE-relaxed structure, the X-ray powder pattern of Cs4Nb2Si8O23 was simulated for Cu Kα X-rays.
No peak broadening, texture or thermal motion is included.

Structural model:
```
Cs4Nb2Si8O23
1.0
6.990 0.000 0.000
2.393 7.411 0.000
0.052 2.569 10.782
Cs Nb Si O
4 2 8 23
Cartesian
1.919 3.027 3.898
1.982 1.584 0.119
7.452 8.396 10.663
7.516 6.953 6.884
3.842 7.599 8.834
5.592 2.380 1.948
1.961 6.754 3.225
3.938 5.284 1.428
4.149 6.511 5.410
3.442 2.862 7.655
5.992 7.118 3.128
5.285 3.468 5.372
5.496 4.696 9.354
7.474 3.225 7.557
2.668 9.173 8.183
2.516 5.604 2.201
2.685 6.543 4.681
2.415 6.583 9.200
2.042 3.624 7.233
3.945 8.429 10.700
4.017 7.079 6.887
4.131 3.682 1.502
5.188 7.432 4.534
5.563 8.926 8.447
5.124 6.056 2.248
4.717 4.990 5.391
4.310 3.924 8.534
3.871 1.054 2.336
4.247 2.548 6.248
5.303 6.298 9.280
5.417 2.900 3.896
5.490 1.550 0.082
7.392 6.355 3.550
7.020 3.396 1.582
6.749 3.436 6.101
6.919 4.375 8.582
6.767 0.806 2.599
```

Largest 10 diffraction maxima, sorted by position, 2θ = 10–80°:
2θ = 24.15°, I = 25; 2θ = 24.70°, I = 84; 2θ = 26.39°, I = 21; 2θ = 26.85°, I = 20; 2θ = 27.38°, I = 100; 2θ = 29.47°, I = 23; 2θ = 30.20°, I = 21; 2θ = 30.36°, I = 34; 2θ = 30.77°, I = 31; 2θ = 35.48°, I = 26

***

2.
Starting from a PBE-relaxed structure, the X-ray powder pattern of CsNb2PS10 was simulated for Cu Kα X-rays.
No peak broadening, texture or thermal motion is included.

Structural model:
```
CsNb2PS10
1.0
14.251 0.000 0.000
0.000 7.676 0.000
-1.285 0.000 13.039
Cs Nb P S
4 8 4 40
Cartesian
0.000 7.673 0.000
-0.643 0.004 6.519
6.782 0.139 3.332
6.139 7.537 9.852
3.067 3.311 7.904
3.710 4.366 1.385
2.725 3.404 11.691
3.368 4.273 5.172
10.535 3.372 4.864
9.892 4.304 11.384
10.202 3.338 8.654
10.845 4.339 2.134
1.872 0.752 9.796
2.515 6.925 3.277
9.330 0.750 6.670
9.973 6.927 0.150
1.150 0.690 3.300
0.507 6.986 9.819
1.435 2.902 5.963
0.792 4.774 12.483
1.138 2.723 9.660
2.076 2.882 0.231
1.433 4.795 6.750
1.781 4.953 3.140
3.066 0.715 8.107
3.709 6.962 1.588
2.979 0.827 11.539
3.621 6.850 5.019
3.959 2.636 3.272
3.317 5.041 9.792
4.969 2.724 6.396
4.326 4.953 12.916
4.636 3.465 9.974
5.279 4.211 3.454
5.659 3.006 0.476
5.017 4.671 6.995
8.601 0.685 0.135
7.958 6.991 6.654
8.906 2.993 2.936
8.263 4.683 9.456
8.611 2.732 6.609
9.254 4.944 0.090
8.266 2.788 10.239
8.909 4.888 3.719
10.507 0.756 4.968
9.865 6.920 11.487
10.451 0.774 8.405
11.094 6.902 1.885
11.437 2.638 0.292
10.794 5.038 6.811
12.109 3.456 6.932
12.752 4.221 0.412
11.791 2.858 10.516
12.496 2.872 3.398
11.853 4.805 9.917
12.433 4.819 3.997
```

Largest 10 diffraction maxima, sorted by position, 2θ = 10–80°:
2θ = 11.53°, I = 22; 2θ = 12.48°, I = 46; 2θ = 17.02°, I = 100; 2θ = 18.47°, I = 21; 2θ = 23.17°, I = 35; 2θ = 31.31°, I = 25; 2θ = 37.42°, I = 21; 2θ = 37.48°, I = 20; 2θ = 39.32°, I = 20; 2θ = 45.07°, I = 19

***

3.
Starting from a PBE-relaxed structure, the X-ray powder pattern of Cs2Nb2Pd3 was simulated for Cu Kα X-rays.
No peak broadening, texture or thermal motion is included.

Structural model:
```
Cs2Nb2Pd3
1.0
2.247 1.297 11.775
-2.247 1.297 11.775
0.000 -2.594 11.775
Cs Nb Pd
2 2 3
Cartesian
0.000 0.000 0.000
0.000 0.000 15.061
0.000 0.000 7.132
0.000 0.000 20.494
0.000 0.000 9.756
0.000 0.000 17.834
0.000 0.000 30.679
```

Largest 10 diffraction maxima, sorted by position, 2θ = 10–80°:
2θ = 22.99°, I = 18; 2θ = 23.41°, I = 29; 2θ = 26.14°, I = 31; 2θ = 28.98°, I = 52; 2θ = 34.28°, I = 29; 2θ = 40.14°, I = 100; 2θ = 40.49°, I = 25; 2θ = 42.71°, I = 50; 2θ = 51.15°, I = 21; 2θ = 74.70°, I = 19

***

4.
Starting from a PBE-relaxed structure, the X-ray powder pattern of Cs3NbTe2S2 was simulated for Cu Kα X-rays.
No peak broadening, texture or thermal motion is included.

Structural model:
```
Cs3NbTe2S2
1.0
0.000 6.475 4.582
6.026 0.000 4.582
6.026 6.475 0.000
Cs Nb Te S
3 1 2 2
Cartesian
0.000 0.000 0.000
3.013 3.238 1.074
9.040 9.713 5.656
6.026 6.475 4.847
6.026 4.242 3.368
6.026 8.709 3.368
7.859 6.475 6.177
4.194 6.475 6.177
```

Largest 10 diffraction maxima, sorted by position, 2θ = 10–80°:
2θ = 20.13°, I = 49; 2θ = 23.95°, I = 54; 2θ = 24.40°, I = 80; 2θ = 28.08°, I = 100; 2θ = 29.65°, I = 41; 2θ = 33.90°, I = 30; 2θ = 41.83°, I = 25; 2θ = 44.59°, I = 31; 2θ = 51.14°, I = 23; 2θ = 52.10°, I = 28

***

5.
Starting from a PBE-relaxed structure, the X-ray powder pattern of Cs3NbTeS3 was simulated for Cu Kα X-rays.
No peak broadening, texture or thermal motion is included.

Structural model:
```
Cs3NbTeS3
1.0
6.056 3.496 2.643
-6.056 3.496 2.643
0.000 -6.993 2.643
Cs Nb Te S
3 1 1 3
Cartesian
-2.751 -1.588 2.643
2.751 -1.588 2.643
0.000 3.176 2.643
0.000 0.000 7.648
0.000 0.000 4.938
-4.197 -2.423 5.780
4.197 -2.423 5.780
0.000 4.847 5.780
```

Largest 10 diffraction maxima, sorted by position, 2θ = 10–80°:
2θ = 14.63°, I = 21; 2θ = 20.30°, I = 100; 2θ = 25.11°, I = 78; 2θ = 28.21°, I = 84; 2θ = 29.50°, I = 93; 2θ = 33.91°, I = 24; 2θ = 36.08°, I = 25; 2θ = 45.55°, I = 51; 2θ = 47.27°, I = 21; 2θ = 51.54°, I = 32

***

6.
Starting from a PBE-relaxed structure, the X-ray powder pattern of CsNbSe3 was simulated for Cu Kα X-rays.
No peak broadening, texture or thermal motion is included.

Structural model:
```
CsNbSe3
1.0
8.480 0.000 0.000
-4.240 7.344 0.000
0.000 0.000 6.393
Cs Nb Se
2 2 6
Cartesian
0.000 4.896 0.000
4.240 2.448 3.196
0.000 0.000 2.963
0.000 0.000 6.160
-3.089 5.662 4.505
0.881 1.838 4.505
1.151 1.682 1.308
2.208 7.188 4.505
6.448 0.156 1.308
5.121 5.506 1.308
```

Largest 10 diffraction maxima, sorted by position, 2θ = 10–80°:
2θ = 12.05°, I = 79; 2θ = 18.40°, I = 49; 2θ = 20.95°, I = 69; 2θ = 28.02°, I = 25; 2θ = 32.25°, I = 30; 2θ = 35.18°, I = 100; 2θ = 36.71°, I = 25; 2θ = 43.16°, I = 38; 2θ = 46.78°, I = 22; 2θ = 51.75°, I = 25

***

7.
Starting from a PBE-relaxed structure, the X-ray powder pattern of CsNdNp was simulated for Cu Kα X-rays.
No peak broadening, texture or thermal motion is included.

Structural model:
```
CsNdNp
1.0
8.260 0.000 0.000
0.000 8.260 0.000
0.000 0.000 8.260
Cs Nd Np
4 4 4
Cartesian
0.000 0.000 0.000
0.000 4.130 4.130
4.130 0.000 4.130
4.130 4.130 0.000
2.065 2.065 6.195
2.065 6.195 2.065
6.195 2.065 2.065
6.195 6.195 6.195
0.000 0.000 4.130
0.000 4.130 0.000
4.130 0.000 0.000
4.130 4.130 4.130
```

Largest 10 diffraction maxima, sorted by position, 2θ = 10–80°:
2θ = 18.60°, I = 27; 2θ = 21.51°, I = 22; 2θ = 30.61°, I = 100; 2θ = 36.06°, I = 16; 2θ = 43.84°, I = 19; 2θ = 48.01°, I = 7; 2θ = 49.34°, I = 10; 2θ = 54.41°, I = 40; 2θ = 63.73°, I = 13; 2θ = 72.35°, I = 17

***

8.
Starting from a PBE-relaxed structure, the X-ray powder pattern of Cs3Nd5O9 was simulated for Cu Kα X-rays.
No peak broadening, texture or thermal motion is included.

Structural model:
```
Cs3Nd5O9
1.0
9.039 0.000 0.000
-4.520 7.828 0.000
0.000 0.000 6.794
Cs Nd O
3 5 9
Cartesian
-2.093 3.626 0.000
4.186 0.000 0.000
2.426 4.203 0.000
-3.423 5.929 3.874
1.096 1.899 3.874
0.000 5.219 3.771
4.520 2.609 3.771
6.847 0.000 3.874
-2.547 4.412 2.702
-1.645 6.072 5.015
0.084 3.368 5.015
2.875 1.757 5.015
1.972 3.416 2.702
5.094 0.000 2.702
1.561 6.217 5.015
6.081 1.611 5.015
4.603 4.460 5.015
```

Largest 10 diffraction maxima, sorted by position, 2θ = 10–80°:
2θ = 13.03°, I = 38; 2θ = 23.64°, I = 58; 2θ = 26.27°, I = 100; 2θ = 30.21°, I = 37; 2θ = 33.01°, I = 20; 2θ = 36.90°, I = 15; 2θ = 40.43°, I = 40; 2θ = 46.35°, I = 19; 2θ = 50.79°, I = 17; 2θ = 55.46°, I = 17

***

9.
Starting from a PBE-relaxed structure, the X-ray powder pattern of CsNdSeO was simulated for Cu Kα X-rays.
No peak broadening, texture or thermal motion is included.

Structural model:
```
CsNdSeO
1.0
8.505 0.000 0.000
0.000 7.781 0.000
-1.357 0.000 6.834
Cs Nd Se O
4 4 4 4
Cartesian
0.093 1.688 3.279
-0.585 2.203 6.696
7.734 5.578 0.137
7.055 6.094 3.554
2.997 4.895 5.326
3.676 6.778 1.910
3.472 1.004 4.924
4.151 2.887 1.507
1.697 4.599 2.511
1.019 7.073 5.928
6.130 0.708 0.906
5.451 3.183 4.322
2.999 1.144 2.640
2.321 2.746 6.057
4.828 5.035 0.777
4.149 6.637 4.194
```

Largest 10 diffraction maxima, sorted by position, 2θ = 10–80°:
2θ = 21.30°, I = 30; 2θ = 24.21°, I = 52; 2θ = 25.47°, I = 27; 2θ = 27.49°, I = 93; 2θ = 28.63°, I = 35; 2θ = 30.13°, I = 100; 2θ = 34.99°, I = 29; 2θ = 35.76°, I = 49; 2θ = 39.33°, I = 30; 2θ = 48.03°, I = 28

***

> Which formula does entry 4 have?

Cs3NbTe2S2